Calculated XRD peak list of MgV2Bi2Pb2O10 for copper Kα, from a DFT-relaxed cell (GGA+U, the Materials Project).
Neutral-atom scattering factors, no anomalous dispersion.

Atomic structure:
Cell lengths 6.0600, 6.9129, 7.8395 Å; angles 71.82, 80.94, 69.87 degrees
Space group P1 (No. 1)
Inequivalent atoms, fractional coordinates:
1 Mg 0.0000 0.0000 0.0000 [1 per cell]
2 V 0.5263 0.9376 0.9729 [1 per cell]
3 V 0.9223 0.2692 0.2231 [1 per cell]
4 Bi 0.1631 0.5497 0.8223 [1 per cell]
5 Bi 0.2875 0.6231 0.3451 [1 per cell]
6 Pb 0.6214 0.9301 0.4625 [1 per cell]
7 Pb 0.7801 0.3334 0.6353 [1 per cell]
8 O 0.1216 0.3176 0.3256 [1 per cell]
9 O 0.3162 0.8171 0.9497 [1 per cell]
10 O 0.4289 0.2193 0.8425 [1 per cell]
11 O 0.4339 0.6233 0.5866 [1 per cell]
12 O 0.5235 0.8516 0.2231 [1 per cell]
13 O 0.6350 0.3329 0.3594 [1 per cell]
14 O 0.8351 0.8666 0.8977 [1 per cell]
15 O 0.9219 0.3189 0.9769 [1 per cell]
16 O 0.9662 0.9714 0.2671 [1 per cell]
17 O 0.9817 0.5989 0.5849 [1 per cell]

Most intense lines, 15° ≤ 2θ ≤ 90°, in order of rising 2θ:
| hkl | d_spacing | Rel. int. |
| --- | --- | --- |
| 1 0 -1 | 4.397 | 49 |
| 1 -1 0 | 3.665 | 100 |
| 1 1 2 | 3.493 | 78 |
| 1 2 1 | 3.337 | 52 |
| 1 2 0 | 3.189 | 69 |
| 1 0 -2 | 3.034 | 62 |
| 2 1 1 | 2.950 | 33 |
| 0 1 -2 | 2.863 | 54 |
| 0 2 2 | 2.803 | 40 |
| 1 1 3 | 2.518 | 34 |



Calculated XRD peak list of CaV2P2H8O14 for copper Kα, from a DFT-relaxed cell (GGA+U, the Materials Project).
Neutral-atom scattering factors, no anomalous dispersion.

Atomic structure:
Cell lengths 6.3967, 6.4293, 6.6679 Å; angles 75.51, 86.39, 89.77 degrees
Space group P1 (No. 1)
Inequivalent atoms, fractional coordinates:
1 Ca 0.0000 0.0000 0.0000 [1 per cell]
2 V 0.2038 0.5254 0.3695 [1 per cell]
3 V 0.6960 0.9710 0.5383 [1 per cell]
4 P 0.1947 0.0018 0.4639 [1 per cell]
5 P 0.6921 0.5018 0.4461 [1 per cell]
6 H 0.1059 0.5810 0.9009 [1 per cell]
7 H 0.3022 0.7332 0.8579 [1 per cell]
8 H 0.3378 0.2196 0.0804 [1 per cell]
9 H 0.3604 0.2867 0.8287 [1 per cell]
10 H 0.5533 0.9886 0.9396 [1 per cell]
11 H 0.6254 0.7494 0.0205 [1 per cell]
12 H 0.7376 0.3801 0.9222 [1 per cell]
13 H 0.8646 0.3998 0.1139 [1 per cell]
14 O 0.0008 0.9852 0.6194 [1 per cell]
15 O 0.1737 0.8502 0.3171 [1 per cell]
16 O 0.1936 0.6690 0.9670 [1 per cell]
17 O 0.2023 0.4571 0.6215 [1 per cell]
18 O 0.2169 0.2296 0.3124 [1 per cell]
19 O 0.3596 0.1649 0.9534 [1 per cell]
20 O 0.3843 0.9432 0.5969 [1 per cell]
21 O 0.5146 0.5592 0.2906 [1 per cell]
22 O 0.6637 0.8839 0.9148 [1 per cell]
23 O 0.6686 0.2698 0.5818 [1 per cell]
24 O 0.6963 0.6488 0.5956 [1 per cell]
25 O 0.7411 0.0181 0.2859 [1 per cell]
26 O 0.8758 0.3599 0.9779 [1 per cell]
27 O 0.8976 0.5297 0.3001 [1 per cell]

Most intense lines, 15° ≤ 2θ ≤ 90°, in order of rising 2θ:
| hkl | d_spacing | Rel. int. |
| --- | --- | --- |
| 1 0 -1 | 4.396 | 41 |
| 0 1 -1 | 4.003 | 27 |
| 0 0 2 | 3.221 | 60 |
| 0 1 2 | 3.207 | 28 |
| 2 0 0 | 3.192 | 79 |
| 0 2 1 | 3.126 | 67 |
| 0 2 0 | 3.112 | 100 |
| 2 0 1 | 2.936 | 71 |
| 2 0 -1 | 2.789 | 63 |
| 2 -2 1 | 2.033 | 24 |



Calculated XRD peak list of MnVP2O8F2 for copper Kα, from a DFT-relaxed cell (GGA+U, the Materials Project).
Neutral-atom scattering factors, no anomalous dispersion.

Atomic structure:
Cell lengths 5.1193, 5.2031, 7.3728 Å; angles 108.30, 105.57, 94.05 degrees
Space group P-1 (No. 2)
Inequivalent atoms, fractional coordinates:
1 Mn 0.0000 0.0000 0.0000 [1 per cell]
2 V 0.5000 0.5000 0.5000 [1 per cell]
3 P 0.0738 0.3839 0.7478 [2 per cell]
4 O 0.1435 0.1561 0.8331 [2 per cell]
5 O 0.1536 0.6721 0.9064 [2 per cell]
6 O 0.2381 0.3641 0.5943 [2 per cell]
7 O 0.2388 0.6772 0.3734 [2 per cell]
8 F 0.3826 0.1939 0.2678 [2 per cell]

Most intense lines, 15° ≤ 2θ ≤ 90°, in order of rising 2θ:
| hkl | d_spacing | Rel. int. |
| --- | --- | --- |
| 1 0 0 | 4.863 | 81 |
| 0 1 -1 | 4.803 | 48 |
| 1 0 -1 | 4.667 | 64 |
| 1 -1 0 | 3.774 | 33 |
| 1 0 1 | 3.454 | 90 |
| 0 1 1 | 3.408 | 100 |
| 1 -1 1 | 3.327 | 32 |
| -1 1 1 | 3.246 | 42 |
| 1 1 -2 | 3.038 | 94 |
| 1 -2 1 | 2.350 | 40 |



Calculated XRD peak list of Li4Mn2VNi3P6O24 for copper Kα, from a DFT-relaxed cell (GGA+U, the Materials Project).
Neutral-atom scattering factors, no anomalous dispersion.

Atomic structure:
Cell lengths 8.4745, 8.5621, 8.5853 Å; angles 61.97, 62.28, 62.26 degrees
Space group P1 (No. 1)
Inequivalent atoms, fractional coordinates:
1 Li 0.0000 0.0000 0.0000 [1 per cell]
2 Li 0.1029 0.4991 0.8626 [1 per cell]
3 Li 0.4601 0.7059 0.3003 [1 per cell]
4 Li 0.8952 0.0627 0.5062 [1 per cell]
5 Mn 0.2596 0.8521 0.6468 [1 per cell]
6 Mn 0.7318 0.3545 0.1491 [1 per cell]
7 V 0.8955 0.5004 0.3039 [1 per cell]
8 Ni 0.1029 0.7026 0.5047 [1 per cell]
9 Ni 0.3922 0.0002 0.7949 [1 per cell]
10 Ni 0.6044 0.2061 0.0031 [1 per cell]
11 P 0.0000 0.3062 0.7029 [1 per cell]
12 P 0.1963 0.1051 0.1935 [1 per cell]
13 P 0.2987 0.6038 0.1063 [1 per cell]
14 P 0.5030 0.3954 0.6076 [1 per cell]
15 P 0.7021 0.9022 0.4060 [1 per cell]
16 P 0.7986 0.8093 0.9075 [1 per cell]
17 O 0.0654 0.4577 0.6758 [1 per cell]
18 O 0.1311 0.5328 0.1635 [1 per cell]
19 O 0.1498 0.1107 0.7133 [1 per cell]
20 O 0.1811 0.9464 0.3891 [1 per cell]
21 O 0.1985 0.0543 0.0435 [1 per cell]
22 O 0.2755 0.6650 0.2587 [1 per cell]
23 O 0.2801 0.7689 0.9247 [1 per cell]
24 O 0.3455 0.5927 0.5832 [1 per cell]
25 O 0.3592 0.1636 0.1445 [1 per cell]
26 O 0.4492 0.2399 0.6285 [1 per cell]
27 O 0.4871 0.4483 0.0797 [1 per cell]
28 O 0.5102 0.9097 0.5572 [1 per cell]
29 O 0.5695 0.3623 0.7578 [1 per cell]
30 O 0.6300 0.8462 0.8623 [1 per cell]
31 O 0.6594 0.4315 0.4045 [1 per cell]
32 O 0.6999 0.0835 0.2370 [1 per cell]
33 O 0.7527 0.7344 0.3416 [1 per cell]
34 O 0.7881 0.9572 0.9657 [1 per cell]
35 O 0.8246 0.6079 0.0661 [1 per cell]
36 O 0.8470 0.2799 0.8963 [1 per cell]
37 O 0.8542 0.8730 0.4741 [1 per cell]
38 O 0.9324 0.3558 0.5389 [1 per cell]
39 O 0.9929 0.7793 0.7480 [1 per cell]
40 O 0.9968 0.2639 0.2337 [1 per cell]

Most intense lines, 15° ≤ 2θ ≤ 90°, in order of rising 2θ:
| hkl | d_spacing | Rel. int. |
| --- | --- | --- |
| 0 1 -1 | 4.409 | 100 |
| 0 1 2 | 3.730 | 39 |
| 1 0 2 | 3.711 | 40 |
| 2 1 0 | 3.685 | 38 |
| 1 3 2 | 2.724 | 37 |
| 2 1 3 | 2.707 | 34 |
| 3 2 1 | 2.688 | 31 |
| -2 1 1 | 2.546 | 60 |
| 1 -3 2 | 1.668 | 18 |
| -3 2 1 | 1.665 | 17 |



Calculated XRD peak list of V3CoNi2P6O24 for copper Kα, from a DFT-relaxed cell (GGA+U, the Materials Project).
Neutral-atom scattering factors, no anomalous dispersion.

Atomic structure:
Cell lengths 8.6082, 8.6082, 20.4940 Å; angles 90.00, 90.00, 120.00 degrees
Space group R3 (No. 146, hexagonal axes)
Inequivalent atoms, fractional coordinates:
1 V 0.0000 0.0000 0.0000 [3 per cell]
2 V 0.0000 0.0000 0.2152 [3 per cell]
3 V 0.0000 0.0000 0.7144 [3 per cell]
4 Co 0.0000 0.0000 0.4998 [3 per cell]
5 Ni 0.0000 0.0000 0.3588 [3 per cell]
6 Ni 0.0000 0.0000 0.8575 [3 per cell]
7 P 0.9999 0.2925 0.6060 [9 per cell]
8 P 0.0015 0.7061 0.1070 [9 per cell]
9 O 0.0030 0.8071 0.1690 [9 per cell]
10 O 0.0048 0.1951 0.6686 [9 per cell]
11 O 0.0169 0.8353 0.7811 [9 per cell]
12 O 0.0185 0.1831 0.2816 [9 per cell]
13 O 0.1364 0.4670 0.2106 [9 per cell]
14 O 0.1455 0.6755 0.7120 [9 per cell]
15 O 0.1682 0.6862 0.0976 [9 per cell]
16 O 0.1687 0.4856 0.6005 [9 per cell]

Most intense lines, 15° ≤ 2θ ≤ 90°, in order of rising 2θ:
| hkl | d_spacing | Rel. int. |
| --- | --- | --- |
| 1 1 0 | 4.304 | 87 |
| 2 -1 3 | 3.642 | 100 |
| 2 0 2 | 3.503 | 21 |
| 2 -1 6 | 2.676 | 69 |
| 3 0 0 | 2.485 | 38 |
| 1 2 8 | 1.895 | 34 |
| 2 2 6 | 1.821 | 26 |
| 1 4 0 | 1.627 | 24 |
| 3 1 8 | 1.609 | 17 |
| 5 -1 6 | 1.469 | 20 |



Calculated XRD peak list of Mn5Si4O14 for copper Kα, from a DFT-relaxed cell (GGA+U, the Materials Project).
Neutral-atom scattering factors, no anomalous dispersion.

Atomic structure:
Cell lengths 5.6819, 7.6994, 8.0476 Å; angles 65.43, 88.60, 72.12 degrees
Space group P-1 (No. 2)
Inequivalent atoms, fractional coordinates:
1 Mn 0.0000 0.0000 0.0000 [1 per cell]
2 Mn 0.0893 0.6058 0.8021 [2 per cell]
3 Mn 0.3564 0.5797 0.3079 [2 per cell]
4 Si 0.2276 0.2129 0.6138 [2 per cell]
5 Si 0.5002 0.2236 0.1418 [2 per cell]
6 O 0.0031 0.1912 0.7514 [2 per cell]
7 O 0.1400 0.2323 0.4167 [2 per cell]
8 O 0.2111 0.3448 0.0391 [2 per cell]
9 O 0.2991 0.7868 0.0118 [2 per cell]
10 O 0.3113 0.4076 0.5896 [2 per cell]
11 O 0.4186 0.6545 0.7574 [2 per cell]
12 O 0.4728 0.0106 0.7235 [2 per cell]

Most intense lines, 15° ≤ 2θ ≤ 90°, in order of rising 2θ:
| hkl | d_spacing | Rel. int. |
| --- | --- | --- |
| 1 0 1 | 4.094 | 23 |
| 1 2 1 | 3.567 | 100 |
| -1 1 2 | 3.105 | 56 |
| 1 2 2 | 3.074 | 81 |
| 0 1 -2 | 2.729 | 55 |
| -1 2 1 | 2.674 | 40 |
| 2 1 -1 | 2.587 | 41 |
| 2 0 1 | 2.425 | 27 |
| 0 4 2 | 1.830 | 20 |
| 1 -3 1 | 1.636 | 24 |



Calculated XRD peak list of NiH2O2 for copper Kα, from a DFT-relaxed cell (GGA+U, the Materials Project).
Neutral-atom scattering factors, no anomalous dispersion.

Atomic structure:
Cell lengths 3.3412, 3.3412, 4.3965 Å; angles 90.00, 90.00, 120.00 degrees
Space group P3m1 (No. 156)
Inequivalent atoms, fractional coordinates:
1 Ni 0.0000 0.0000 0.0000 [1 per cell]
2 H 0.3333 0.6667 0.4417 [1 per cell]
3 H 0.6667 0.3333 0.0285 [1 per cell]
4 O 0.3333 0.6667 0.2187 [1 per cell]
5 O 0.6667 0.3333 0.8021 [1 per cell]

Most intense lines, 15° ≤ 2θ ≤ 90°, in order of rising 2θ:
| hkl | d_spacing | Rel. int. |
| --- | --- | --- |
| 0 0 1 | 4.396 | 100 |
| 1 0 0 | 2.894 | 40 |
| 0 1 1 | 2.417 | 99 |
| 0 1 2 | 1.750 | 47 |
| 1 1 0 | 1.671 | 30 |
| 1 1 1 | 1.562 | 27 |
| 2 0 1 | 1.374 | 14 |
| 1 1 2 | 1.330 | 6 |
| 1 0 3 | 1.307 | 16 |
| 2 0 2 | 1.209 | 12 |



Calculated XRD peak list of Y2Mn3O9 for copper Kα, from a DFT-relaxed cell (GGA+U, the Materials Project).
Neutral-atom scattering factors, no anomalous dispersion.

Atomic structure:
Cell lengths 16.0861, 7.5351, 5.2468 Å; angles 90.00, 90.00, 90.00 degrees
Space group Pnma (No. 62)
Inequivalent atoms, fractional coordinates:
1 Y 0.0143 0.2500 0.0094 [4 per cell]
2 Y 0.1873 0.2500 0.4831 [4 per cell]
3 Mn 0.0000 0.0000 0.5000 [4 per cell]
4 Mn 0.1671 0.5049 0.9957 [8 per cell]
5 O 0.0036 0.7500 0.4158 [4 per cell]
6 O 0.0630 0.5278 0.8115 [8 per cell]
7 O 0.0953 0.0618 0.2863 [8 per cell]
8 O 0.1567 0.2500 0.9062 [4 per cell]
9 O 0.1723 0.7500 0.0855 [4 per cell]
10 O 0.2362 0.5448 0.7040 [8 per cell]

Most intense lines, 15° ≤ 2θ ≤ 90°, in order of rising 2θ:
| hkl | d_spacing | Rel. int. |
| --- | --- | --- |
| 2 1 0 | 5.499 | 28 |
| 1 1 1 | 4.159 | 24 |
| 6 0 0 | 2.681 | 23 |
| 3 2 1 | 2.658 | 100 |
| 0 0 2 | 2.623 | 24 |
| 0 4 0 | 1.884 | 19 |
| 6 0 2 | 1.875 | 31 |
| 6 4 0 | 1.542 | 24 |
| 3 2 3 | 1.521 | 25 |
| 6 4 2 | 1.329 | 14 |